Diffraction record for MgZnCuF6. The powder X-ray diffraction pattern is computed, not measured: it uses DFT lattice parameters and positions (PBE) and Cu Kα (λ = 1.5418 Å).
Peak positions follow from Bragg's law for the DFT cell and can differ from measured ones.

Cell and atoms:
Cell: 4.724 4.724 9.484 Å, 90.00 90.00 90.00°
Space group P4_2nm (No. 102)
Inequivalent atoms, fractional coordinates:
Mg1 0.000 0.000 0.000 x2
Zn1 0.000 0.000 0.666 x2
Cu1 0.000 0.000 0.333 x2
F1 0.195 0.195 0.163 x4
F2 0.197 0.197 0.836 x4
F3 0.200 0.200 0.500 x4

Main lines, by angle (10° ≤ 2θ ≤ 80°):
hkl  d (Å)  intensity
1 0 1  4.229  20.2
1 1 0  3.340  100.0
1 0 3  2.627  52.8
1 1 3  2.296  23.4
2 1 0  2.113  11.3
2 1 3  1.757  69.5
2 2 0  1.670  20.9
0 0 6  1.581  11.6
1 1 6  1.429  13.9
3 0 3  1.410  27.6